Diffraction record for K2NaHgSb. The PXRD pattern is simulated, not measured: it uses DFT lattice parameters and positions (PBE) and Cu Kα.
Neutral-atom scattering factors, no anomalous dispersion.

Main lines, sorted by position (2θ from 10° to 90°):
2θ 18.51, rel. 46, hkl 1 1 0; 2θ 19.93, rel. 100, hkl 1 0 1; 2θ 23.90, rel. 26, hkl 1 1 1; 2θ 26.29, rel. 55, hkl 2 0 0; 2θ 33.21, rel. 57, hkl 2 1 1; 2θ 37.52, rel. 21, hkl 2 2 0; 2θ 40.50, rel. 34, hkl 2 0 2; 2θ 48.93, rel. 19, hkl 2 2 2

Cell and atoms:
a b c (Å): 6.7807 6.7807 5.9075
angles (deg): 90.00 90.00 90.00
Space group P4/mmm (No. 123)
Inequivalent atoms, fractional coordinates:
K1 0.0000 0.5000 0.0000
Na1 0.0000 0.0000 0.5000
Hg1 0.5000 0.5000 0.5000
Sb1 0.0000 0.0000 0.0000